This entry pairs a crystal structure of UAs3Pd with its simulated powder diffraction line list. Radiation: Cu Kα (λ = 1.5418 Å). Structure: a crystal structure in Alexandria, relaxed with GGA-PBE.

Largest 12 diffraction maxima, by angle, 10° ≤ 2θ ≤ 90°:
Position (°2θ), d_spacing, I_rel, hkl
23.3, 3.822, 100, 1 1 1
26.7, 3.343, 35, 2 1 1
34.7, 2.582, 97, 2 2 0
35.0, 2.567, 75, 2 0 2
37.5, 2.401, 88, 4 1 1
37.6, 2.390, 64, 5 0 0
38.7, 2.325, 52, 3 2 0
38.9, 2.314, 54, 3 0 2
44.9, 2.017, 88, 0 2 2
58.7, 1.572, 26, 7 1 1
60.0, 1.541, 73, 5 2 2
76.1, 1.250, 25, 2 4 2

Cell and atoms:
Lattice parameters (Å, degrees): 11.950 5.727 5.684 90.00 90.00 90.00
Space group Pbcm (No. 57)
One atom of each set of equivalent atoms:
U 0.188 0.008 0.250 [4 per cell]
As 0.001 0.750 0.000 [4 per cell]
As 0.245 0.513 0.250 [4 per cell]
As 0.422 0.124 0.250 [4 per cell]
Pd 0.411 0.750 0.000 [4 per cell]